Entry 1:
# Ac3NdTh2Sb6
Simulated X-ray powder pattern, a wavelength of 1.5418 Å. Input: a cell relaxed with GGA-PBE.
Peak positions follow from Bragg's law for the DFT cell and can differ from measured ones.

The 12 most intense peaks (2θ from 5° to 70°), sorted by position:
2θ 23.33, I 4
2θ 23.47, I 10
2θ 27.13, I 100
2θ 38.65, I 39
2θ 38.83, I 39
2θ 45.81, I 5
2θ 47.70, I 7
2θ 48.01, I 21
2θ 55.95, I 13
2θ 63.13, I 18
2θ 63.39, I 19
2θ 69.82, I 6

Structural model:
abc: 8.0348 8.0348 8.0819
angles: 99.52 99.52 120.04
Atoms (fractional coordinates):
1 Ac 0.0000 0.0000 0.0000
2 Ac 0.3341 0.6659 0.0000
3 Ac 0.6659 0.3341 0.0000
4 Nd 0.5000 0.5000 0.5000
5 Th 0.1669 0.8331 0.5000
6 Th 0.8331 0.1669 0.5000
7 Sb 0.0870 0.4221 0.2667
8 Sb 0.2422 0.2422 0.7328
9 Sb 0.4221 0.0870 0.2667
10 Sb 0.5779 0.9130 0.7333
11 Sb 0.7578 0.7578 0.2672
12 Sb 0.9130 0.5779 0.7333

Entry 2:
# Sr3ZnGa2Ag6
Simulated X-ray powder pattern, a wavelength of 1.5418 Å. Input: a cell relaxed with GGA-PBE.
Peak positions follow from Bragg's law for the DFT cell and can differ from measured ones.

The 12 most intense peaks (2θ from 5° to 70°), sorted by position:
2θ 19.26, I 20
2θ 19.77, I 16
2θ 28.80, I 14
2θ 29.84, I 28
2θ 33.38, I 15
2θ 34.89, I 100
2θ 35.18, I 58
2θ 39.09, I 61
2θ 43.69, I 16
2θ 45.38, I 29
2θ 55.26, I 16
2θ 59.66, I 30

Structural model:
abc: 6.1991 6.1991 8.9824
angles: 90.00 90.00 120.00
Atoms (fractional coordinates):
1 Sr 0.0000 0.0000 0.0000
2 Sr 0.3333 0.6667 0.6218
3 Sr 0.6667 0.3333 0.3782
4 Zn 0.0000 0.0000 0.5000
5 Ga 0.3333 0.6667 0.0310
6 Ga 0.6667 0.3333 0.9690
7 Ag 0.1761 0.3522 0.2858
8 Ag 0.1761 0.8239 0.2858
9 Ag 0.3522 0.1761 0.7142
10 Ag 0.6478 0.8239 0.2858
11 Ag 0.8239 0.1761 0.7142
12 Ag 0.8239 0.6478 0.7142

Entry 3:
# CdGaBi
Simulated X-ray powder pattern, a wavelength of 1.5418 Å. Input: a cell relaxed with GGA-PBE.
Peak positions follow from Bragg's law for the DFT cell and can differ from measured ones.

The 12 most intense peaks (2θ from 5° to 70°), sorted by position:
2θ 12.58, I 19
2θ 23.77, I 36
2θ 25.32, I 22
2θ 26.80, I 61
2θ 32.37, I 100
2θ 33.08, I 51
2θ 38.38, I 21
2θ 40.84, I 29
2θ 41.53, I 32
2θ 53.52, I 26
2θ 58.64, I 19
2θ 65.64, I 24

Structural model:
abc: 7.5394 7.5394 4.4196
angles: 90.00 90.00 137.90
Atoms (fractional coordinates):
1 Cd 0.0833 0.9167 0.7500
2 Cd 0.9167 0.0833 0.2500
3 Ga 0.4602 0.5398 0.2500
4 Ga 0.5398 0.4602 0.7500
5 Bi 0.2570 0.7430 0.2500
6 Bi 0.7430 0.2570 0.7500

Entry 4:
# NiPd3Cl9
Simulated X-ray powder pattern, a wavelength of 1.5418 Å. Input: a cell relaxed with GGA-PBE.
Peak positions follow from Bragg's law for the DFT cell and can differ from measured ones.

The 12 most intense peaks (2θ from 5° to 70°), sorted by position:
2θ 12.59, I 20
2θ 14.66, I 19
2θ 16.84, I 40
2θ 18.93, I 100
2θ 19.87, I 52
2θ 23.32, I 19
2θ 29.56, I 23
2θ 33.04, I 19
2θ 35.87, I 18
2θ 38.31, I 13
2θ 38.43, I 21
2θ 47.68, I 15

Structural model:
abc: 9.9430 9.9430 14.0159
angles: 128.43 128.43 39.39
Atoms (fractional coordinates):
1 Ni 0.0187 0.9813 0.5000
2 Ni 0.9813 0.0187 0.0000
3 Pd 0.3205 0.7354 0.7627
4 Pd 0.3807 0.4030 0.7455
5 Pd 0.4030 0.3807 0.2455
6 Pd 0.4990 0.9304 0.3121
7 Pd 0.7354 0.3205 0.2627
8 Pd 0.9304 0.4990 0.8121
9 Cl 0.0577 0.6850 0.6456
10 Cl 0.1532 0.4372 0.0459
11 Cl 0.1842 0.7695 0.3453
12 Cl 0.2024 0.9216 0.1888
13 Cl 0.2396 0.2822 0.7540
14 Cl 0.2822 0.2396 0.2540
15 Cl 0.3132 0.7523 0.9387
16 Cl 0.3360 0.6929 0.5880
17 Cl 0.4372 0.1532 0.5459
18 Cl 0.6299 0.7152 0.8861
19 Cl 0.6850 0.0577 0.1456
20 Cl 0.6929 0.3360 0.0880
21 Cl 0.7152 0.6299 0.3861
22 Cl 0.7523 0.3132 0.4387
23 Cl 0.7695 0.1842 0.8453
24 Cl 0.8340 0.8450 0.3798
25 Cl 0.8450 0.8340 0.8798
26 Cl 0.9216 0.2024 0.6888

Entry 5:
# Dy2Ni3B6
Simulated X-ray powder pattern, a wavelength of 1.5418 Å. Input: a cell relaxed with GGA-PBE.
Peak positions follow from Bragg's law for the DFT cell and can differ from measured ones.

The 12 most intense peaks (2θ from 5° to 70°), sorted by position:
2θ 23.01, I 21
2θ 25.58, I 36
2θ 31.03, I 50
2θ 33.03, I 21
2θ 33.16, I 16
2θ 40.64, I 100
2θ 41.77, I 18
2θ 47.02, I 17
2θ 49.63, I 12
2θ 52.57, I 14
2θ 54.30, I 13
2θ 62.31, I 14

Structural model:
abc: 5.8001 5.8001 3.4818
angles: 90.00 90.00 96.43
Atoms (fractional coordinates):
1 Dy 0.2250 0.7750 0.0000
2 Dy 0.7750 0.2250 0.0000
3 Ni 0.2721 0.2721 0.0000
4 Ni 0.5000 0.5000 0.5000
5 Ni 0.7279 0.7279 0.0000
6 B 0.1130 0.1130 0.5000
7 B 0.1142 0.4144 0.5000
8 B 0.4144 0.1142 0.5000
9 B 0.5856 0.8858 0.5000
10 B 0.8858 0.5856 0.5000
11 B 0.8870 0.8870 0.5000

Entry 6:
# RbPr2AsO5
Simulated X-ray powder pattern, a wavelength of 1.5418 Å. Input: a cell relaxed with GGA-PBE.
Peak positions follow from Bragg's law for the DFT cell and can differ from measured ones.

The 12 most intense peaks (2θ from 5° to 70°), sorted by position:
2θ 14.55, I 16
2θ 29.34, I 25
2θ 29.59, I 100
2θ 36.37, I 40
2θ 36.52, I 15
2θ 41.01, I 8
2θ 47.40, I 18
2θ 47.51, I 14
2θ 52.17, I 14
2θ 54.91, I 18
2θ 59.32, I 16
2θ 67.55, I 13

Structural model:
abc: 7.8290 7.8290 7.8290
angles: 127.22 127.22 77.89
Atoms (fractional coordinates):
1 Rb 0.2500 0.2500 0.0000
2 Rb 0.7500 0.7500 0.0000
3 Pr 0.1789 0.6789 0.8579
4 Pr 0.3211 0.1789 0.5000
5 Pr 0.6789 0.8211 0.5000
6 Pr 0.8211 0.3211 0.1421
7 As 0.2500 0.7500 0.5000
8 As 0.7500 0.2500 0.5000
9 O 0.0000 0.0000 0.0000
10 O 0.0116 0.2395 0.5000
11 O 0.2395 0.7395 0.2279
12 O 0.2605 0.4884 0.5000
13 O 0.4884 0.9884 0.2279
14 O 0.5000 0.5000 0.0000
15 O 0.5116 0.0116 0.7721
16 O 0.7395 0.5116 0.5000
17 O 0.7605 0.2605 0.7721
18 O 0.9884 0.7605 0.5000